Li3ScZn8: theoretical powder X-ray diffraction pattern (a wavelength of 1.5418 Å), based on a GGA-PBE-relaxed structure.
No peak broadening, texture or thermal motion is included.

Structural model:
```
data_Li3ScZn8
_cell_length_a 8.9242
_cell_length_b 5.1365
_cell_length_c 9.0041
_cell_angle_alpha 90.00
_cell_angle_beta 109.33
_cell_angle_gamma 90.00
_symmetry_space_group_name_H-M 'C 1 m 1'
_symmetry_Int_Tables_number 8
_symmetry_space_group_name_Hall 'C -2y'
loop_
_atom_site_label
_atom_site_type_symbol
_atom_site_fract_x
_atom_site_fract_y
_atom_site_fract_z
Li1 Li 0.0000 0.0000 0.0000
Li2 Li 0.0043 0.5000 0.5152
Li3 Li 0.3773 0.5000 0.6331
Sc1 Sc 0.3780 0.0000 0.1344
Zn1 Zn 0.1890 0.2496 0.3209
Zn2 Zn 0.1893 0.5000 0.0704
Zn3 Zn 0.1899 0.2495 0.8211
Zn4 Zn 0.1907 0.0000 0.5722
Zn5 Zn 0.4393 0.0000 0.8200
Zn6 Zn 0.4402 0.5000 0.3220
```

Main lines, most intense first (2θ from 5° to 70°):
index  d [Å]  2θ/deg  Rel. int.
1 1 -1  4.206  21.12  100
4 0 0  2.103  43.01  85
0 2 2  2.200  41.03  75
0 0 2  4.248  20.91  34
1 1 3  2.212  40.79  33
0 0 4  2.124  42.56  29
2 2 2  1.824  49.99  29
2 2 0  2.193  41.17  21
4 0 -4  1.828  49.88  14
4 2 -2  1.671  54.96  10